Diffraction record for TlCu2S3. The XRD peak list is calculated, not measured: it uses a crystal structure in Alexandria, relaxed with PBE and Cu Ka.
Peak positions follow from Bragg's law for the DFT cell and can differ from measured ones.

Crystal structure
a b c (Å): 12.9177 6.7537 12.3163
angles (deg): 79.46 30.93 69.61
Positions (direct):
Tl: 0.3168 0.6832 0.3370
Tl: 0.5870 0.9130 0.5668
Tl: 0.6832 0.3168 0.6630
Tl: 0.9130 0.5870 0.9332
Cu: 0.0024 0.0024 0.9976
Cu: 0.0835 0.4149 0.0888
Cu: 0.1612 0.8371 0.1665
Cu: 0.2524 0.2524 0.2476
Cu: 0.4149 0.0835 0.4129
Cu: 0.5058 0.5058 0.4942
Cu: 0.7558 0.7558 0.7442
Cu: 0.8371 0.1612 0.8351
S: 0.0835 0.1913 0.2529
S: 0.0997 0.6244 0.3762
S: 0.1913 0.0835 0.4723
S: 0.3224 0.4337 0.5230
S: 0.3503 0.8738 0.6256
S: 0.4337 0.3224 0.7208
S: 0.5292 0.7270 0.8163
S: 0.6244 0.0997 0.8997
S: 0.7270 0.5292 0.9276
S: 0.7777 0.9971 0.0587
S: 0.8738 0.3503 0.1503
S: 0.9971 0.7777 0.1665

The 12 most intense peaks (10 to 90 degrees two-theta), by angle:
- 2θ 17.99, rel. 15
- 2θ 28.04, rel. 100
- 2θ 29.20, rel. 8
- 2θ 32.49, rel. 24
- 2θ 37.38, rel. 7
- 2θ 46.60, rel. 52
- 2θ 55.27, rel. 41
- 2θ 57.95, rel. 6
- 2θ 68.03, rel. 7
- 2θ 75.10, rel. 13
- 2θ 77.41, rel. 7
- 2θ 86.46, rel. 10

---

Diffraction record for MnSi2Hg. The XRD peak list is calculated, not measured: it uses a crystal structure in Alexandria, relaxed with PBE and Cu Ka.
Peak positions follow from Bragg's law for the DFT cell and can differ from measured ones.

Crystal structure
a b c (Å): 2.8718 2.8247 7.8205
angles (deg): 90.00 90.09 90.00
Positions (direct):
Mn: 0.0000 0.0000 0.0000
Si: 0.4991 0.5000 0.8305
Si: 0.5009 0.5000 0.1695
Hg: 0.5000 0.0000 0.5000

The 12 most intense peaks (10 to 90 degrees two-theta), by angle:
- 2θ 11.31, rel. 100
- 2θ 22.74, rel. 96
- 2θ 31.14, rel. 35
- 2θ 31.68, rel. 33
- 2θ 33.23, rel. 77
- 2θ 33.74, rel. 42
- 2θ 34.40, rel. 27
- 2θ 39.35, rel. 77
- 2θ 46.57, rel. 93
- 2θ 47.08, rel. 54
- 2θ 51.01, rel. 28
- 2θ 57.31, rel. 24

---

Diffraction record for Sr3In2Sb4. The XRD peak list is calculated, not measured: it uses a crystal structure in Alexandria, relaxed with PBE and Cu Ka.
Peak positions follow from Bragg's law for the DFT cell and can differ from measured ones.

Crystal structure
a b c (Å): 7.2922 17.8392 4.8339
angles (deg): 90.00 90.00 90.00
Positions (direct):
Sr: 0.0000 0.0000 0.0000
Sr: 0.2082 0.3036 0.5000
Sr: 0.2918 0.8036 0.0000
Sr: 0.5000 0.5000 0.5000
Sr: 0.7082 0.1964 0.0000
Sr: 0.7918 0.6964 0.5000
In: 0.1435 0.5879 0.0000
In: 0.3565 0.0879 0.5000
In: 0.6435 0.9121 0.5000
In: 0.8565 0.4121 0.0000
Sb: 0.2254 0.1699 0.0000
Sb: 0.2490 0.4299 0.0000
Sb: 0.2510 0.9299 0.5000
Sb: 0.2746 0.6699 0.5000
Sb: 0.7254 0.3301 0.5000
Sb: 0.7490 0.0701 0.5000
Sb: 0.7510 0.5701 0.0000
Sb: 0.7746 0.8301 0.0000

The 12 most intense peaks (10 to 90 degrees two-theta), by angle:
- 2θ 22.06, rel. 19
- 2θ 23.72, rel. 36
- 2θ 24.24, rel. 17
- 2θ 24.41, rel. 49
- 2θ 31.15, rel. 100
- 2θ 32.35, rel. 28
- 2θ 34.30, rel. 59
- 2θ 37.20, rel. 45
- 2θ 39.98, rel. 40
- 2θ 44.41, rel. 19
- 2θ 45.00, rel. 19
- 2θ 47.81, rel. 17